Entry 1:
KMgAlCl6: theoretical XRD peak list (λ = 1.5418 Å (Cu Kα)), based on DFT lattice parameters and positions (PBE).
Intensities are scaled so that the largest is 100.

Largest 10 diffraction maxima, by intensity, 2θ from 15° to 90°:
| Position (°2θ) | I (rel.) |
| --- | --- |
| 30.85 | 100 |
| 38.20 | 79 |
| 20.50 | 63 |
| 49.59 | 29 |
| 45.40 | 18 |
| 48.33 | 16 |
| 60.31 | 15 |
| 64.27 | 11 |
| 62.12 | 11 |
| 51.27 | 11 |

Structure:
```
data_KMgAlCl6
_cell_length_a 6.3676
_cell_length_b 6.3676
_cell_length_c 14.0120
_cell_angle_alpha 90.00
_cell_angle_beta 90.00
_cell_angle_gamma 120.00
_symmetry_space_group_name_H-M 'P -3 1 c'
_symmetry_Int_Tables_number 163
_symmetry_space_group_name_Hall '-P 3 2c'
loop_
_atom_site_label
_atom_site_fract_x
_atom_site_fract_y
_atom_site_fract_z
K1 0.0000 0.0000 0.0000
Mg1 0.3333 0.6667 0.2500
Al1 0.3333 0.6667 0.7500
Cl1 0.0196 0.3804 0.6524
```

Entry 2:
Zr4CuGe: theoretical XRD peak list (λ = 1.5418 Å (Cu Kα)), based on DFT lattice parameters and positions (PBE).
Intensities are scaled so that the largest is 100.

Largest 10 diffraction maxima, by intensity, 2θ from 15° to 90°:
| Position (°2θ) | I (rel.) |
| --- | --- |
| 34.39 | 100 |
| 42.83 | 40 |
| 38.67 | 30 |
| 43.33 | 25 |
| 60.45 | 19 |
| 69.26 | 19 |
| 65.96 | 15 |
| 79.32 | 12 |
| 59.65 | 11 |
| 86.02 | 10 |

Structure:
```
data_Zr4CuGe
_cell_length_a 6.6771
_cell_length_b 6.6771
_cell_length_c 5.3522
_cell_angle_alpha 90.00
_cell_angle_beta 90.00
_cell_angle_gamma 90.00
_symmetry_space_group_name_H-M 'P 4/m c c'
_symmetry_Int_Tables_number 124
_symmetry_space_group_name_Hall '-P 4 2c'
loop_
_atom_site_label
_atom_site_fract_x
_atom_site_fract_y
_atom_site_fract_z
Zr1 0.1531 0.3426 0.0000
Cu1 0.0000 0.0000 0.2500
Ge1 0.5000 0.5000 0.2500
```

Entry 3:
LiHPt3: theoretical XRD peak list (λ = 1.5418 Å (Cu Kα)), based on DFT lattice parameters and positions (PBE).
Intensities are scaled so that the largest is 100.

Largest 10 diffraction maxima, by intensity, 2θ from 15° to 90°:
| Position (°2θ) | I (rel.) |
| --- | --- |
| 39.05 | 100 |
| 45.63 | 65 |
| 22.36 | 45 |
| 39.80 | 32 |
| 79.91 | 25 |
| 65.98 | 21 |
| 67.03 | 21 |
| 32.05 | 19 |
| 31.60 | 17 |
| 80.88 | 13 |

Structure:
```
data_LiHPt3
_cell_length_a 5.6633
_cell_length_b 5.6633
_cell_length_c 6.7940
_cell_angle_alpha 90.00
_cell_angle_beta 90.00
_cell_angle_gamma 120.00
_symmetry_space_group_name_H-M 'R 3 m'
_symmetry_Int_Tables_number 160
_symmetry_space_group_name_Hall 'R 3 -2"'
loop_
_atom_site_label
_atom_site_fract_x
_atom_site_fract_y
_atom_site_fract_z
Li1 0.0000 0.0000 0.0000
H1 0.0000 0.0000 0.7258
Pt1 0.0151 0.5075 0.9913
```